Entry 1:
Starting from a GGA+U-relaxed structure, the PXRD pattern of Li2MnVP2H2O10 was calculated for Cu Kα (λ = 1.5418 Å).
Intensities are scaled so that the largest is 100.

Top 8 peaks for 5° ≤ 2θ ≤ 70°, in order of rising 2θ:
2theta  Rel. int.  hkl
18.43  33  1 -1 0
18.53  42  1 0 -1
25.64  31  0 1 -3
26.51  60  1 -2 1
26.66  100  0 2 0
28.83  71  1 0 -3
35.66  35  1 0 3
41.71  26  -2 2 2

Structural model:
Cell: 5.2113 7.4061 10.7075 Å, 104.99 96.91 107.99°
Sites, in units of the cell vectors:
Li  0.0417  0.1199  0.3027
Li  0.4436  0.3627  0.1991
Li  0.5564  0.6373  0.8009
Li  0.9583  0.8801  0.6973
Mn  0.0000  0.0000  0.0000
Mn  0.5000  0.0000  0.5000
V  0.0000  0.5000  0.0000
V  0.5000  0.5000  0.5000
P  0.0117  0.4517  0.6818
P  0.4960  0.9508  0.1853
P  0.5040  0.0492  0.8147
P  0.9883  0.5483  0.3182
H  0.1782  0.1958  0.5336
H  0.3258  0.3159  0.9676
H  0.6742  0.6841  0.0324
H  0.8218  0.8042  0.4664
O  0.0992  0.7728  0.3925
O  0.1320  0.4952  0.8326
O  0.1921  0.3170  0.0251
O  0.2123  0.4502  0.3321
O  0.2541  0.9546  0.8684
O  0.2637  0.5601  0.6312
O  0.2883  0.0599  0.1810
O  0.3198  0.2018  0.4781
O  0.3510  0.7233  0.1015
O  0.3740  0.0238  0.6692
O  0.6260  0.9762  0.3308
O  0.6490  0.2767  0.8985
O  0.6802  0.7982  0.5219
O  0.7117  0.9401  0.8190
O  0.7363  0.4399  0.3688
O  0.7459  0.0454  0.1316
O  0.7877  0.5498  0.6679
O  0.8079  0.6830  0.9749
O  0.8680  0.5048  0.1674
O  0.9008  0.2272  0.6075



Entry 2:
Starting from a GGA+U-relaxed structure, the PXRD pattern of LiMnVP2H2O10 was calculated for Cu Kα (λ = 1.5418 Å).
Intensities are scaled so that the largest is 100.

Top 8 peaks for 5° ≤ 2θ ≤ 70°, in order of rising 2θ:
2theta  Rel. int.  hkl
17.90  50  0 1 2
18.17  47  1 0 -1
18.86  57  1 -1 0
25.03  38  1 1 1
26.08  100  1 1 -2
27.21  100  0 1 -4
29.71  76  -1 2 2
35.79  37  1 1 4

Structural model:
Cell: 5.2382 7.3498 14.4406 Å, 91.91 92.85 103.75°
Sites, in units of the cell vectors:
Li  0.0000  0.0000  0.0000
Li  0.1475  0.5953  0.2949
Li  0.4825  0.9275  0.6285
Mn  0.0738  0.2977  0.1474
Mn  0.4050  0.6280  0.4811
Mn  0.7406  0.9644  0.8142
V  0.0761  0.3032  0.6477
V  0.4056  0.6246  0.9805
V  0.7430  0.9703  0.3145
P  0.0000  0.9044  0.5226
P  0.1449  0.6978  0.7726
P  0.3359  0.2301  0.8559
P  0.4819  0.0236  0.1055
P  0.6659  0.5712  0.1896
P  0.8117  0.3640  0.4389
H  0.1923  0.0671  0.2504
H  0.3033  0.8811  0.3865
H  0.5247  0.3974  0.5833
H  0.6377  0.2169  0.7195
H  0.8432  0.7117  0.9092
H  0.9556  0.5291  0.0455
O  0.0088  0.9466  0.4167
O  0.0145  0.5112  0.7145
O  0.0384  0.1239  0.2512
O  0.0622  0.1495  0.8885
O  0.0843  0.4436  0.4053
O  0.1085  0.4713  0.0439
O  0.1459  0.0823  0.5839
O  0.1464  0.6531  0.8780
O  0.1741  0.7642  0.5414
O  0.3100  0.1648  0.0874
O  0.3345  0.2751  0.7508
O  0.3341  0.8448  0.0450
O  0.3711  0.4540  0.5849
O  0.3869  0.5012  0.2189
O  0.4191  0.7788  0.7403
O  0.4283  0.8021  0.3726
O  0.4667  0.4169  0.9142
O  0.4761  0.9809  0.2116
O  0.5119  0.0936  0.8735
O  0.6406  0.5038  0.4227
O  0.6713  0.6138  0.0839
O  0.6779  0.1767  0.3813
O  0.7179  0.7900  0.9233
O  0.7194  0.8350  0.5504
O  0.7609  0.0935  0.0766
O  0.7622  0.1384  0.7050
O  0.8137  0.7503  0.2505
O  0.8155  0.3182  0.5441
O  0.8380  0.4303  0.2079
O  0.9693  0.8347  0.7553



Entry 3:
Starting from a GGA+U-relaxed structure, the PXRD pattern of Li3MnVP2H2O10 was calculated for Cu Kα (λ = 1.5418 Å).
Intensities are scaled so that the largest is 100.

Top 8 peaks for 5° ≤ 2θ ≤ 70°, in order of rising 2θ:
2theta  Rel. int.  hkl
17.29  21  0 1 0
17.82  71  1 0 -1
25.40  21  -1 1 1
25.77  68  1 0 -2
26.23  100  0 1 -2
27.42  70  1 1 0
35.97  36  1 -2 0
54.00  23  0 2 -4

Structural model:
Cell: 5.3778 5.4639 7.6103 Å, 106.47 109.02 95.40°
Sites, in units of the cell vectors:
Li  0.0000  0.0000  0.0000
Li  0.2279  0.5378  0.6797
Li  0.5487  0.8346  0.6284
Mn  0.7668  0.4070  0.8413
V  0.7505  0.4025  0.3249
P  0.0852  0.0292  0.6046
P  0.4401  0.7818  0.0651
H  0.1056  0.4598  0.1874
H  0.4263  0.3218  0.4698
O  0.0076  0.1958  0.4663
O  0.0719  0.7354  0.4981
O  0.1438  0.6650  0.9159
O  0.3834  0.1436  0.7365
O  0.4453  0.0701  0.1714
O  0.5139  0.6290  0.2112
O  0.5869  0.4622  0.5391
O  0.6188  0.7553  0.9372
O  0.9000  0.0505  0.7256
O  0.9261  0.3462  0.1260



Entry 4:
Starting from a GGA+U-relaxed structure, the PXRD pattern of Li2MnVP2H2O10 was calculated for Cu Kα (λ = 1.5418 Å).
Intensities are scaled so that the largest is 100.

Top 8 peaks for 5° ≤ 2θ ≤ 70°, in order of rising 2θ:
2theta  Rel. int.  hkl
18.35  36  0 1 2
18.66  50  0 2 1
25.36  34  1 0 -2
25.73  34  1 2 -1
26.47  77  0 0 3
26.95  100  1 -1 2
28.96  87  1 3 1
35.64  42  2 0 -1

Structural model:
Cell: 5.4359 10.1768 10.3192 Å, 79.31 83.14 79.29°
Sites, in units of the cell vectors:
Li  0.0000  0.0000  0.0000
Li  0.0822  0.7161  0.0647
Li  0.3329  0.6682  0.6652
Li  0.4170  0.3805  0.7333
Li  0.6651  0.3334  0.3328
Li  0.7505  0.0495  0.3977
Mn  0.0426  0.3569  0.0316
Mn  0.2081  0.1910  0.3667
Mn  0.5416  0.8581  0.0321
V  0.3748  0.0245  0.6994
V  0.7043  0.6929  0.3652
V  0.8738  0.5248  0.6994
P  0.1457  0.8878  0.2945
P  0.2656  0.4951  0.4371
P  0.4800  0.5534  0.9617
P  0.6060  0.1625  0.1033
P  0.8133  0.2207  0.6280
P  0.9353  0.8283  0.7699
H  0.0384  0.4217  0.2623
H  0.0487  0.2908  0.8045
H  0.3715  0.0891  0.9293
H  0.3776  0.9606  0.4696
H  0.7004  0.7579  0.5934
H  0.7110  0.6268  0.1354
O  0.0168  0.3330  0.2414
O  0.0389  0.1549  0.7104
O  0.0414  0.5609  0.3539
O  0.0701  0.3788  0.8263
O  0.0992  0.0434  0.2902
O  0.1848  0.8725  0.7000
O  0.1946  0.8540  0.1520
O  0.2111  0.5285  0.5810
O  0.2247  0.5087  0.0263
O  0.3156  0.3394  0.4431
O  0.3483  0.0012  0.9066
O  0.3716  0.8225  0.3772
O  0.3866  0.2249  0.0180
O  0.4014  0.0483  0.4916
O  0.4260  0.7091  0.9562
O  0.5146  0.5397  0.3696
O  0.5372  0.5207  0.8178
O  0.5565  0.1957  0.2453
O  0.5638  0.1767  0.6984
O  0.6580  0.0064  0.1078
O  0.6804  0.6705  0.5704
O  0.6980  0.4903  0.0473
O  0.7097  0.8942  0.6878
O  0.7347  0.7147  0.1575
O  0.7656  0.3762  0.6240
O  0.8591  0.1878  0.4858
O  0.8607  0.2064  0.0352
O  0.8887  0.8609  0.9127
O  0.8976  0.8434  0.3644
O  0.9829  0.6730  0.7737



Entry 5:
Starting from a GGA+U-relaxed structure, the PXRD pattern of Li2MnVP2H2O10 was calculated for Cu Kα (λ = 1.5418 Å).
Intensities are scaled so that the largest is 100.

Top 8 peaks for 5° ≤ 2θ ≤ 70°, in order of rising 2θ:
2theta  Rel. int.  hkl
17.70  28  1 0 -1
18.26  41  0 1 1
18.51  51  0 0 2
25.69  36  1 1 -2
26.22  70  0 2 0
26.59  100  1 -2 1
28.90  79  1 0 -3
35.91  35  2 0 0

Structural model:
Cell: 5.3976 7.4696 10.2839 Å, 104.80 100.09 106.07°
Sites, in units of the cell vectors:
Li  0.0241  0.4482  0.1261
Li  0.4747  0.0407  0.3725
Li  0.5253  0.9593  0.6275
Li  0.9759  0.5518  0.8739
Mn  0.0000  0.0000  0.5000
Mn  0.5000  0.0000  0.0000
V  0.0000  0.5000  0.5000
V  0.5000  0.5000  0.0000
P  0.0265  0.8947  0.1590
P  0.4751  0.6136  0.3425
P  0.5249  0.3864  0.6575
P  0.9735  0.1053  0.8410
H  0.1128  0.8275  0.6783
H  0.3824  0.6546  0.8209
H  0.6176  0.3454  0.1791
H  0.8872  0.1725  0.3217
O  0.0771  0.8864  0.3086
O  0.1074  0.3204  0.9473
O  0.1322  0.7870  0.5822
O  0.1477  0.9771  0.8604
O  0.1909  0.5020  0.3533
O  0.3154  0.9888  0.1457
O  0.3286  0.4996  0.6282
O  0.3676  0.6874  0.9170
O  0.4177  0.1742  0.5570
O  0.4256  0.6093  0.1893
O  0.5744  0.3907  0.8107
O  0.5823  0.8258  0.4430
O  0.6324  0.3126  0.0830
O  0.6714  0.5004  0.3718
O  0.6846  0.0112  0.8543
O  0.8091  0.4980  0.6467
O  0.8523  0.0229  0.1396
O  0.8678  0.2130  0.4178
O  0.8926  0.6796  0.0527
O  0.9229  0.1136  0.6914



Entry 6:
Starting from a GGA+U-relaxed structure, the PXRD pattern of Li2MnVP2H2O10 was calculated for Cu Kα (λ = 1.5418 Å).
Intensities are scaled so that the largest is 100.

Top 8 peaks for 5° ≤ 2θ ≤ 70°, in order of rising 2θ:
2theta  Rel. int.  hkl
17.56  34  1 1 0
18.33  36  0 1 2
18.80  48  0 2 1
25.19  35  1 0 -2
26.34  79  0 0 3
27.00  100  1 -1 2
29.15  86  1 3 1
35.54  44  2 0 -1

Structural model:
Cell: 5.4351 10.1006 10.3501 Å, 79.65 83.66 79.31°
Sites, in units of the cell vectors:
Li  0.0362  0.3563  0.0334
Li  0.2932  0.3083  0.6375
Li  0.3729  0.0252  0.6993
Li  0.6271  0.9748  0.3007
Li  0.7068  0.6917  0.3625
Li  0.9638  0.6437  0.9666
Mn  0.0000  0.0000  0.0000
Mn  0.1674  0.8337  0.3348
Mn  0.8326  0.1663  0.6652
V  0.3287  0.6689  0.6665
V  0.5000  0.5000  0.0000
V  0.6713  0.3311  0.3335
P  0.1120  0.5314  0.2619
P  0.2310  0.1357  0.4047
P  0.4342  0.1954  0.9299
P  0.5658  0.8046  0.0701
P  0.7690  0.8643  0.5953
P  0.8880  0.4686  0.7381
H  0.0007  0.0630  0.2320
H  0.3266  0.7350  0.8945
H  0.3347  0.6021  0.4372
H  0.6653  0.3979  0.5628
H  0.6734  0.2650  0.1055
H  0.9993  0.9370  0.7680
O  0.0009  0.2005  0.3224
O  0.0230  0.0257  0.7896
O  0.0635  0.6885  0.2577
O  0.1352  0.5137  0.6711
O  0.1648  0.4995  0.1177
O  0.1798  0.1518  0.9991
O  0.1869  0.1699  0.5455
O  0.2752  0.9777  0.4098
O  0.3062  0.6464  0.8711
O  0.3404  0.4648  0.3437
O  0.3434  0.8690  0.9850
O  0.3598  0.6902  0.4597
O  0.3825  0.3524  0.9266
O  0.4771  0.1784  0.3326
O  0.4787  0.1634  0.7882
O  0.5213  0.8366  0.2118
O  0.5229  0.8216  0.6674
O  0.6175  0.6476  0.0734
O  0.6402  0.3098  0.5403
O  0.6566  0.1310  0.0150
O  0.6596  0.5352  0.6563
O  0.6938  0.3536  0.1289
O  0.7248  0.0223  0.5901
O  0.8131  0.8301  0.4545
O  0.8202  0.8482  0.0009
O  0.8352  0.5005  0.8823
O  0.8648  0.4863  0.3289
O  0.9365  0.3115  0.7423
O  0.9770  0.9743  0.2104
O  0.9991  0.7995  0.6776



Entry 7:
Starting from a GGA+U-relaxed structure, the PXRD pattern of Li2MnVP2H2O10 was calculated for Cu Kα (λ = 1.5418 Å).
Intensities are scaled so that the largest is 100.

Top 8 peaks for 5° ≤ 2θ ≤ 70°, in order of rising 2θ:
2theta  Rel. int.  hkl
17.54  33  1 -1 0
18.71  79  0 1 2
21.90  32  1 0 2
25.49  32  1 -1 3
26.75  100  1 1 -2
26.88  73  0 1 -4
29.18  85  -1 2 2
35.31  58  2 -1 2

Structural model:
Cell: 5.4886 7.4320 14.3497 Å, 95.14 91.48 110.04°
Sites, in units of the cell vectors:
Li  0.0000  0.0000  0.0000
Li  0.1355  0.9276  0.2829
Li  0.3233  0.3236  0.3375
Li  0.4751  0.2585  0.6172
Li  0.6612  0.6643  0.6681
Li  0.8105  0.5944  0.9480
Mn  0.4031  0.7971  0.4777
Mn  0.7341  0.1292  0.3094
Mn  0.7356  0.1289  0.8084
V  0.0616  0.4585  0.1414
V  0.0688  0.4607  0.6422
V  0.4013  0.7959  0.9742
P  0.0597  0.0804  0.4969
P  0.0811  0.8408  0.7879
P  0.3873  0.4153  0.8292
P  0.4158  0.1766  0.1231
P  0.7078  0.7464  0.1607
P  0.7492  0.5095  0.4551
H  0.0103  0.4708  0.3182
H  0.1198  0.4492  0.9675
H  0.3453  0.8093  0.6496
H  0.4577  0.7865  0.3035
H  0.6840  0.1442  0.9808
H  0.7897  0.1134  0.6346
O  0.0101  0.3605  0.2719
O  0.0097  0.6211  0.4166
O  0.0469  0.0847  0.3895
O  0.1034  0.8351  0.8966
O  0.1219  0.5586  0.0141
O  0.1270  0.3029  0.8673
O  0.1604  0.2922  0.5445
O  0.2050  0.2579  0.0899
O  0.2789  0.0045  0.5281
O  0.3171  0.9677  0.0731
O  0.3417  0.9534  0.7501
O  0.3479  0.6999  0.6035
O  0.3651  0.4201  0.7205
O  0.4184  0.1700  0.2301
O  0.4385  0.6344  0.1945
O  0.4561  0.8960  0.3488
O  0.4904  0.6272  0.8755
O  0.5284  0.5869  0.4291
O  0.6087  0.3400  0.8566
O  0.6440  0.2972  0.4083
O  0.6849  0.0351  0.9352
O  0.6869  0.2881  0.0896
O  0.6971  0.7535  0.0520
O  0.7731  0.5048  0.5639
O  0.7886  0.2227  0.6813
O  0.7970  0.9696  0.5346
O  0.8116  0.9563  0.2093
O  0.8597  0.9162  0.7611
O  0.9193  0.6633  0.1897
O  0.9784  0.6293  0.7410